Record 1
This entry pairs a crystal structure of SiRh4Se with its calculated powder X-ray diffraction pattern. Radiation: a wavelength of 1.5418 Å. Structure: a crystal structure in Alexandria, relaxed with PBE.
Lines closer than 0.1° are merged.

Structural model:
```
data_SiRh4Se
_cell_length_a 7.294
_cell_length_b 7.294
_cell_length_c 7.294
_cell_angle_alpha 90.00
_cell_angle_beta 90.00
_cell_angle_gamma 90.00
_space_group_name_H-M_alt 'F -4 3 m'
_space_group_IT_number 216
_space_group_name_Hall 'F -4 2 3'
loop_
_atom_site_label
_atom_site_type_symbol
_atom_site_fract_x
_atom_site_fract_y
_atom_site_fract_z
Si1 Si 0.000 0.000 0.000
Rh1 Rh 0.125 0.125 0.625
Se1 Se 0.250 0.250 0.250
```

Largest 12 diffraction maxima, most intense first, 10° ≤ 2θ ≤ 80°:
(3 1 1), d = 2.199 Å, intensity 100.0
(2 2 2), d = 2.105 Å, intensity 63.0
(1 1 1), d = 4.211 Å, intensity 44.2
(3 3 3), d = 1.404 Å, intensity 30.9
(4 4 0), d = 1.289 Å, intensity 29.1
(4 0 0), d = 1.823 Å, intensity 16.5
(2 2 0), d = 2.579 Å, intensity 11.1
(3 3 1), d = 1.673 Å, intensity 9.8
(5 3 1), d = 1.233 Å, intensity 6.9
(4 2 2), d = 1.489 Å, intensity 3.9
(2 0 0), d = 3.647 Å, intensity 2.8
(4 2 0), d = 1.631 Å, intensity 1.3

=====

Record 2
This entry pairs a crystal structure of BaInH6Ru with its calculated powder X-ray diffraction pattern. Radiation: a wavelength of 1.5418 Å. Structure: a crystal structure in Alexandria, relaxed with PBE.
Lines closer than 0.1° are merged.

Structural model:
```
data_BaInH6Ru
_cell_length_a 4.9259
_cell_length_b 4.9259
_cell_length_c 4.9972
_cell_angle_alpha 90.00
_cell_angle_beta 90.00
_cell_angle_gamma 120.00
_space_group_name_H-M_alt 'P -6 m 2'
_space_group_IT_number 187
_space_group_name_Hall 'P -6 2'
loop_
_atom_site_label
_atom_site_type_symbol
_atom_site_fract_x
_atom_site_fract_y
_atom_site_fract_z
Ba1 Ba 0.0000 0.0000 0.0000
In1 In 0.3333 0.6667 0.5000
H1 H 0.5256 0.0512 0.2525
Ru1 Ru 0.6667 0.3333 0.5000
```

Largest 12 diffraction maxima, most intense first, 10° ≤ 2θ ≤ 80°:
(1 0 1), d = 3.245 Å, intensity 100.0
(1 1 0), d = 2.463 Å, intensity 49.0
(1 1 2), d = 1.754 Å, intensity 35.2
(2 0 1), d = 1.962 Å, intensity 23.6
(2 1 1), d = 1.534 Å, intensity 21.3
(0 0 2), d = 2.499 Å, intensity 16.4
(1 0 3), d = 1.552 Å, intensity 11.0
(3 0 2), d = 1.236 Å, intensity 10.9
(3 0 0), d = 1.422 Å, intensity 8.6
(0 0 1), d = 4.997 Å, intensity 6.7
(2 0 3), d = 1.313 Å, intensity 6.3
(2 2 0), d = 1.231 Å, intensity 5.4

=====

Record 3
This entry pairs a crystal structure of La2CrCuN with its calculated powder X-ray diffraction pattern. Radiation: a wavelength of 1.5418 Å. Structure: a crystal structure in Alexandria, relaxed with PBE.
Lines closer than 0.1° are merged.

Structural model:
```
data_La2CrCuN
_cell_length_a 5.255
_cell_length_b 5.255
_cell_length_c 3.764
_cell_angle_alpha 90.00
_cell_angle_beta 90.00
_cell_angle_gamma 90.00
_space_group_name_H-M_alt 'P 4/m m m'
_space_group_IT_number 123
_space_group_name_Hall '-P 4 2'
loop_
_atom_site_label
_atom_site_type_symbol
_atom_site_fract_x
_atom_site_fract_y
_atom_site_fract_z
La1 La 0.000 0.500 0.000
Cr1 Cr 0.000 0.000 0.500
Cu1 Cu 0.500 0.500 0.500
N1 N 0.000 0.000 0.000
```

Largest 12 diffraction maxima, most intense first, 10° ≤ 2θ ≤ 80°:
(1 1 1), d = 2.644 Å, intensity 100.0
(2 0 0), d = 2.627 Å, intensity 56.4
(3 1 1), d = 1.520 Å, intensity 35.7
(2 0 2), d = 1.530 Å, intensity 20.3
(2 2 0), d = 1.858 Å, intensity 19.6
(1 1 0), d = 3.716 Å, intensity 14.8
(2 2 2), d = 1.322 Å, intensity 12.2
(0 0 1), d = 3.764 Å, intensity 11.5
(0 0 2), d = 1.882 Å, intensity 10.2
(2 0 1), d = 2.154 Å, intensity 10.2
(4 0 0), d = 1.314 Å, intensity 5.9
(2 2 1), d = 1.666 Å, intensity 4.7

=====

Record 4
This entry pairs a crystal structure of Ca2Al5Ag4 with its calculated powder X-ray diffraction pattern. Radiation: a wavelength of 1.5418 Å. Structure: a crystal structure in Alexandria, relaxed with PBE.
Lines closer than 0.1° are merged.

Structural model:
```
data_Ca2Al5Ag4
_cell_length_a 5.438
_cell_length_b 8.913
_cell_length_c 9.395
_cell_angle_alpha 90.00
_cell_angle_beta 90.00
_cell_angle_gamma 90.00
_space_group_name_H-M_alt 'I m m m'
_space_group_IT_number 71
_space_group_name_Hall '-I 2 2'
loop_
_atom_site_label
_atom_site_type_symbol
_atom_site_fract_x
_atom_site_fract_y
_atom_site_fract_z
Ca1 Ca 0.000 0.235 0.000
Al1 Al 0.000 0.500 0.500
Al2 Al 0.249 0.500 0.232
Ag1 Ag 0.000 0.250 0.332
```

Largest 12 diffraction maxima, most intense first, 10° ≤ 2θ ≤ 80°:
(2 2 0), d = 2.319 Å, intensity 100.0
(1 0 3), d = 2.715 Å, intensity 56.8
(0 2 0), d = 4.457 Å, intensity 43.6
(0 0 2), d = 4.702 Å, intensity 32.8
(1 4 3), d = 1.723 Å, intensity 26.6
(0 4 0), d = 2.228 Å, intensity 19.4
(2 2 2), d = 2.080 Å, intensity 16.0
(2 6 0), d = 1.303 Å, intensity 14.3
(3 2 3), d = 1.480 Å, intensity 14.0
(0 2 6), d = 1.477 Å, intensity 7.8
(1 2 1), d = 3.236 Å, intensity 7.3
(0 4 2), d = 2.014 Å, intensity 7.3

=====

Record 5
This entry pairs a crystal structure of Pm5Pr4In with its calculated powder X-ray diffraction pattern. Radiation: a wavelength of 1.5418 Å. Structure: a crystal structure in Alexandria, relaxed with PBE.
Lines closer than 0.1° are merged.

Structural model:
```
data_Pm5Pr4In
_cell_length_a 10.840
_cell_length_b 10.840
_cell_length_c 6.052
_cell_angle_alpha 90.00
_cell_angle_beta 90.00
_cell_angle_gamma 90.00
_space_group_name_H-M_alt 'I 4 m m'
_space_group_IT_number 107
_space_group_name_Hall 'I 4 -2'
loop_
_atom_site_label
_atom_site_type_symbol
_atom_site_fract_x
_atom_site_fract_y
_atom_site_fract_z
Pm1 Pm 0.000 0.000 0.000
Pm2 Pm 0.186 0.186 0.288
Pr1 Pr 0.000 0.310 0.794
In1 In 0.000 0.000 0.519
```

Largest 12 diffraction maxima, most intense first, 10° ≤ 2θ ≤ 80°:
(3 0 1), d = 3.102 Å, intensity 100.0
(3 3 0), d = 2.555 Å, intensity 39.9
(2 0 2), d = 2.642 Å, intensity 17.7
(3 0 3), d = 1.762 Å, intensity 16.7
(6 3 1), d = 1.561 Å, intensity 16.3
(0 0 2), d = 3.026 Å, intensity 16.0
(3 3 2), d = 1.952 Å, intensity 13.7
(5 3 2), d = 1.584 Å, intensity 12.6
(6 0 0), d = 1.807 Å, intensity 11.7
(3 2 1), d = 2.693 Å, intensity 10.5
(5 0 1), d = 2.041 Å, intensity 9.7
(1 1 2), d = 2.815 Å, intensity 8.6

=====

Record 6
This entry pairs a crystal structure of Rb3CuAu2I8 with its calculated powder X-ray diffraction pattern. Radiation: a wavelength of 1.5418 Å. Structure: a crystal structure in Alexandria, relaxed with PBE.
Lines closer than 0.1° are merged.

Structural model:
```
data_Rb3CuAu2I8
_cell_length_a 8.0068
_cell_length_b 8.0068
_cell_length_c 10.7521
_cell_angle_alpha 90.00
_cell_angle_beta 90.00
_cell_angle_gamma 120.00
_space_group_name_H-M_alt 'P -3 m 1'
_space_group_IT_number 164
_space_group_name_Hall '-P 3 2"'
loop_
_atom_site_label
_atom_site_type_symbol
_atom_site_fract_x
_atom_site_fract_y
_atom_site_fract_z
Rb1 Rb 0.0000 0.0000 0.0000
Rb2 Rb 0.3333 0.6667 0.6139
Cu1 Cu 0.0000 0.0000 0.5000
Au1 Au 0.3333 0.6667 0.1975
I1 I 0.1598 0.3195 0.3391
I2 I 0.3333 0.6667 0.9525
```

Largest 12 diffraction maxima, most intense first, 10° ≤ 2θ ≤ 80°:
(2 0 2), d = 2.914 Å, intensity 100.0
(1 0 1), d = 5.827 Å, intensity 92.9
(1 1 0), d = 4.003 Å, intensity 74.2
(2 2 0), d = 2.002 Å, intensity 61.9
(0 2 4), d = 2.124 Å, intensity 60.3
(1 0 3), d = 3.184 Å, intensity 41.3
(2 0 0), d = 3.467 Å, intensity 38.6
(1 1 1), d = 3.752 Å, intensity 35.6
(2 0 3), d = 2.492 Å, intensity 32.8
(0 2 1), d = 3.300 Å, intensity 28.1
(2 1 1), d = 2.546 Å, intensity 28.0
(1 1 5), d = 1.894 Å, intensity 26.0

=====

Record 7
This entry pairs a crystal structure of Y2Er7Tm4 with its calculated powder X-ray diffraction pattern. Radiation: a wavelength of 1.5418 Å. Structure: a crystal structure in Alexandria, relaxed with PBE.
Lines closer than 0.1° are merged.

Structural model:
```
data_Y2Er7Tm4
_cell_length_a 6.0020
_cell_length_b 6.0020
_cell_length_c 13.1520
_cell_angle_alpha 90.00
_cell_angle_beta 90.00
_cell_angle_gamma 120.00
_space_group_name_H-M_alt 'P -3 1 m'
_space_group_IT_number 162
_space_group_name_Hall '-P 3 2'
loop_
_atom_site_label
_atom_site_type_symbol
_atom_site_fract_x
_atom_site_fract_y
_atom_site_fract_z
Y1 Y 0.3333 0.6667 0.0000
Er1 Er 0.0000 0.0000 0.0000
Er2 Er 0.0000 0.3520 0.2165
Tm1 Tm 0.0000 0.0000 0.3946
Tm2 Tm 0.3333 0.6667 0.5000
```

Largest 12 diffraction maxima, most intense first, 10° ≤ 2θ ≤ 80°:
(2 -1 2), d = 2.730 Å, intensity 100.0
(1 1 1), d = 2.926 Å, intensity 61.5
(3 0 0), d = 1.733 Å, intensity 31.9
(1 1 3), d = 2.476 Å, intensity 31.6
(2 -1 6), d = 1.770 Å, intensity 19.9
(0 0 4), d = 3.288 Å, intensity 18.9
(1 0 3), d = 3.351 Å, intensity 18.6
(2 2 2), d = 1.463 Å, intensity 17.4
(1 1 4), d = 2.217 Å, intensity 14.1
(1 1 8), d = 1.442 Å, intensity 14.0
(0 0 5), d = 2.630 Å, intensity 13.7
(1 0 4), d = 2.779 Å, intensity 12.4

=====

Record 8
This entry pairs a crystal structure of CsGeTePHC with its calculated powder X-ray diffraction pattern. Radiation: a wavelength of 1.5418 Å. Structure: a crystal structure in Alexandria, relaxed with PBE.
Lines closer than 0.1° are merged.

Structural model:
```
data_CsGeTePHC
_cell_length_a 5.041
_cell_length_b 6.665
_cell_length_c 6.931
_cell_angle_alpha 63.47
_cell_angle_beta 68.81
_cell_angle_gamma 67.81
_space_group_name_H-M_alt 'P 1'
_space_group_IT_number 1
_space_group_name_Hall 'P 1'
loop_
_atom_site_label
_atom_site_type_symbol
_atom_site_fract_x
_atom_site_fract_y
_atom_site_fract_z
Cs1 Cs 0.000 0.000 0.000
Ge1 Ge 0.638 0.463 0.263
Te1 Te 0.186 0.276 0.353
P1 P 0.803 0.712 0.680
H1 H 0.492 0.679 0.339
C1 C 0.719 0.620 0.941
```

Largest 12 diffraction maxima, most intense first, 10° ≤ 2θ ≤ 80°:
(0 1 2), d = 3.184 Å, intensity 100.0
(0 1 -1), d = 3.573 Å, intensity 36.5
(1 0 2), d = 2.837 Å, intensity 35.9
(0 0 1), d = 6.031 Å, intensity 33.1
(1 1 1), d = 4.536 Å, intensity 29.5
(0 2 1), d = 3.061 Å, intensity 24.9
(0 1 1), d = 5.202 Å, intensity 23.8
(2 1 1), d = 2.520 Å, intensity 23.8
(1 0 -1), d = 3.275 Å, intensity 20.0
(1 -2 1), d = 1.959 Å, intensity 19.4
(2 2 0), d = 2.060 Å, intensity 15.6
(2 3 2), d = 1.946 Å, intensity 13.2

=====

Please write out number 6 again, unchanged.
This entry pairs a crystal structure of Rb3CuAu2I8 with its calculated powder X-ray diffraction pattern. Radiation: a wavelength of 1.5418 Å. Structure: a crystal structure in Alexandria, relaxed with PBE.
Lines closer than 0.1° are merged.

Structural model:
```
data_Rb3CuAu2I8
_cell_length_a 8.0068
_cell_length_b 8.0068
_cell_length_c 10.7521
_cell_angle_alpha 90.00
_cell_angle_beta 90.00
_cell_angle_gamma 120.00
_space_group_name_H-M_alt 'P -3 m 1'
_space_group_IT_number 164
_space_group_name_Hall '-P 3 2"'
loop_
_atom_site_label
_atom_site_type_symbol
_atom_site_fract_x
_atom_site_fract_y
_atom_site_fract_z
Rb1 Rb 0.0000 0.0000 0.0000
Rb2 Rb 0.3333 0.6667 0.6139
Cu1 Cu 0.0000 0.0000 0.5000
Au1 Au 0.3333 0.6667 0.1975
I1 I 0.1598 0.3195 0.3391
I2 I 0.3333 0.6667 0.9525
```

Largest 12 diffraction maxima, most intense first, 10° ≤ 2θ ≤ 80°:
(2 0 2), d = 2.914 Å, intensity 100.0
(1 0 1), d = 5.827 Å, intensity 92.9
(1 1 0), d = 4.003 Å, intensity 74.2
(2 2 0), d = 2.002 Å, intensity 61.9
(0 2 4), d = 2.124 Å, intensity 60.3
(1 0 3), d = 3.184 Å, intensity 41.3
(2 0 0), d = 3.467 Å, intensity 38.6
(1 1 1), d = 3.752 Å, intensity 35.6
(2 0 3), d = 2.492 Å, intensity 32.8
(0 2 1), d = 3.300 Å, intensity 28.1
(2 1 1), d = 2.546 Å, intensity 28.0
(1 1 5), d = 1.894 Å, intensity 26.0